(1)
Calculated powder diffractogram
Compound: Li12LaCd6
Radiation: copper Kα
Structure: the GGA-PBE geometry in Alexandria
Peak positions follow from Bragg's law for the DFT cell and can differ from measured ones.

Top 8 peaks for 2θ from 10° to 80°, by angle:
d/Å, two_theta, I/Imax
4.561, 19.46, 56
3.606, 24.69, 89
3.075, 29.04, 44
2.944, 30.36, 100
2.473, 36.32, 26
2.280, 39.52, 72
1.803, 50.63, 45
1.537, 60.19, 27

Structural model:
Cell: 7.602 7.602 7.602 Å, 101.54 101.54 101.54°
Fractional coordinates of all 19 atoms:
Li 0.000 0.393 0.607
Li 0.000 0.607 0.393
Li 0.070 0.070 0.343
Li 0.070 0.343 0.070
Li 0.343 0.070 0.070
Li 0.393 0.000 0.607
Li 0.393 0.607 0.000
Li 0.607 0.000 0.393
Li 0.607 0.393 0.000
Li 0.657 0.930 0.930
Li 0.930 0.657 0.930
Li 0.930 0.930 0.657
La 0.500 0.500 0.500
Cd 0.230 0.745 0.745
Cd 0.255 0.255 0.770
Cd 0.255 0.770 0.255
Cd 0.745 0.230 0.745
Cd 0.745 0.745 0.230
Cd 0.770 0.255 0.255

(2)
Calculated powder diffractogram
Compound: Li3La2Mg12Cd
Radiation: copper Kα
Structure: the GGA-PBE geometry in Alexandria
Peak positions follow from Bragg's law for the DFT cell and can differ from measured ones.

Top 8 peaks for 2θ from 10° to 80°, by angle:
d/Å, two_theta, I/Imax
5.733, 15.46, 45
5.190, 17.09, 100
3.587, 24.82, 42
3.091, 28.89, 39
2.827, 31.65, 64
2.595, 34.57, 95
2.239, 40.27, 67
1.911, 47.57, 35

Structural model:
Cell: 7.781 7.781 7.781 Å, 83.67 83.67 83.67°
Fractional coordinates of all 18 atoms:
Li 0.000 0.500 0.500
Li 0.500 0.000 0.500
Li 0.500 0.500 0.000
La 0.107 0.107 0.107
La 0.893 0.893 0.893
Mg 0.121 0.121 0.548
Mg 0.121 0.548 0.121
Mg 0.216 0.691 0.691
Mg 0.309 0.309 0.784
Mg 0.309 0.784 0.309
Mg 0.452 0.879 0.879
Mg 0.548 0.121 0.121
Mg 0.691 0.216 0.691
Mg 0.691 0.691 0.216
Mg 0.784 0.309 0.309
Mg 0.879 0.452 0.879
Mg 0.879 0.879 0.452
Cd 0.500 0.500 0.500

(3)
Calculated powder diffractogram
Compound: Li2LaCdPd4
Radiation: copper Kα
Structure: the GGA-PBE geometry in Alexandria
Peak positions follow from Bragg's law for the DFT cell and can differ from measured ones.

Top 8 peaks for 2θ from 10° to 80°, by angle:
d/Å, two_theta, I/Imax
3.690, 24.12, 76
2.446, 36.74, 99
2.227, 40.50, 100
2.116, 42.74, 47
1.647, 55.83, 29
1.324, 71.21, 27
1.286, 73.67, 16
1.263, 75.21, 17

Structural model:
Cell: 8.818 8.818 8.818 Å, 29.26 29.26 29.26°
Fractional coordinates of all 8 atoms:
Li 0.233 0.233 0.233
Li 0.767 0.767 0.767
La 0.000 0.000 0.000
Cd 0.500 0.500 0.500
Pd 0.120 0.120 0.120
Pd 0.393 0.393 0.393
Pd 0.607 0.607 0.607
Pd 0.880 0.880 0.880

(4)
Calculated powder diffractogram
Compound: La3Mg2Cd9
Radiation: copper Kα
Structure: the GGA-PBE geometry in Alexandria
Peak positions follow from Bragg's law for the DFT cell and can differ from measured ones.

Top 8 peaks for 2θ from 10° to 80°, by angle:
d/Å, two_theta, I/Imax
2.928, 30.53, 70
2.841, 31.49, 100
2.818, 31.75, 47
2.742, 32.65, 76
2.494, 36.02, 73
2.182, 41.37, 39
1.898, 47.92, 39
1.514, 61.21, 37

Structural model:
Cell: 9.138 9.138 9.138 Å, 148.33 114.78 74.32°
Fractional coordinates of all 14 atoms:
La 0.000 0.000 0.000
La 0.289 0.289 0.000
La 0.711 0.711 0.000
Mg 0.326 0.500 0.826
Mg 0.674 0.500 0.174
Cd 0.014 0.655 0.358
Cd 0.146 0.860 0.286
Cd 0.297 0.655 0.642
Cd 0.426 0.140 0.286
Cd 0.500 0.000 0.500
Cd 0.574 0.860 0.714
Cd 0.703 0.345 0.358
Cd 0.854 0.140 0.714
Cd 0.986 0.345 0.642

(5)
Calculated powder diffractogram
Compound: LaMg4Cd8
Radiation: copper Kα
Structure: the GGA-PBE geometry in Alexandria
Peak positions follow from Bragg's law for the DFT cell and can differ from measured ones.

Top 8 peaks for 2θ from 10° to 80°, by angle:
d/Å, two_theta, I/Imax
3.027, 29.51, 49
2.903, 30.80, 47
2.506, 35.83, 100
2.482, 36.20, 28
2.292, 39.31, 28
2.237, 40.32, 26
1.628, 56.55, 26
1.437, 64.87, 24

Structural model:
Cell: 7.644 7.644 7.644 Å, 99.02 99.02 133.34°
Fractional coordinates of all 13 atoms:
La 0.000 0.000 0.000
Mg 0.000 0.000 0.500
Mg 0.000 0.500 0.000
Mg 0.500 0.000 0.000
Mg 0.500 0.500 0.500
Cd 0.000 0.348 0.348
Cd 0.000 0.652 0.652
Cd 0.284 0.500 0.784
Cd 0.348 0.000 0.348
Cd 0.500 0.284 0.784
Cd 0.500 0.716 0.216
Cd 0.652 0.000 0.652
Cd 0.716 0.500 0.216

(6)
Calculated powder diffractogram
Compound: La4Mg3Cd
Radiation: copper Kα
Structure: the GGA-PBE geometry in Alexandria
Peak positions follow from Bragg's law for the DFT cell and can differ from measured ones.

Top 8 peaks for 2θ from 10° to 80°, by angle:
d/Å, two_theta, I/Imax
3.957, 22.47, 28
2.798, 31.99, 100
2.285, 39.44, 9
1.981, 45.80, 12
1.771, 51.60, 8
1.616, 56.97, 25
1.613, 57.09, 13
1.253, 75.97, 11

Structural model:
Cell: 3.962 3.962 15.789 Å, 90.00 90.00 90.00°
Fractional coordinates of all 8 atoms:
La 0.000 0.000 0.124
La 0.000 0.000 0.374
La 0.000 0.000 0.626
La 0.000 0.000 0.876
Mg 0.500 0.500 0.251
Mg 0.500 0.500 0.500
Mg 0.500 0.500 0.749
Cd 0.500 0.500 0.000

(7)
Calculated powder diffractogram
Compound: La3Mg2Cd7
Radiation: copper Kα
Structure: the GGA-PBE geometry in Alexandria
Peak positions follow from Bragg's law for the DFT cell and can differ from measured ones.

Top 8 peaks for 2θ from 10° to 80°, by angle:
d/Å, two_theta, I/Imax
3.244, 27.49, 42
2.974, 30.05, 49
2.624, 34.17, 66
2.592, 34.60, 30
2.570, 34.91, 100
2.398, 37.50, 62
1.650, 55.71, 25
1.521, 60.89, 32

Structural model:
Cell: 10.228 10.228 10.228 Å, 34.61 34.61 34.61°
Fractional coordinates of all 12 atoms:
La 0.000 0.000 0.000
La 0.141 0.141 0.141
La 0.859 0.859 0.859
Mg 0.334 0.334 0.334
Mg 0.666 0.666 0.666
Cd 0.077 0.585 0.585
Cd 0.415 0.415 0.923
Cd 0.415 0.923 0.415
Cd 0.500 0.500 0.500
Cd 0.585 0.077 0.585
Cd 0.585 0.585 0.077
Cd 0.923 0.415 0.415

(8)
Calculated powder diffractogram
Compound: La3Mg3Cd2
Radiation: copper Kα
Structure: the GGA-PBE geometry in Alexandria
Peak positions follow from Bragg's law for the DFT cell and can differ from measured ones.

Top 8 peaks for 2θ from 10° to 80°, by angle:
d/Å, two_theta, I/Imax
4.438, 20.01, 28
2.749, 32.57, 100
2.712, 33.03, 98
1.931, 47.07, 35
1.595, 57.82, 18
1.573, 58.71, 36
1.566, 59.00, 18
1.216, 78.69, 15

Structural model:
Cell: 9.568 9.568 9.568 Å, 32.93 32.93 32.93°
Fractional coordinates of all 8 atoms:
La 0.000 0.000 0.000
La 0.245 0.245 0.245
La 0.753 0.753 0.753
Mg 0.126 0.126 0.126
Mg 0.498 0.498 0.498
Mg 0.622 0.622 0.622
Cd 0.377 0.377 0.377
Cd 0.873 0.873 0.873

(9)
Calculated powder diffractogram
Compound: La11Mg9Cd4
Radiation: copper Kα
Structure: the GGA-PBE geometry in Alexandria
Peak positions follow from Bragg's law for the DFT cell and can differ from measured ones.

Top 8 peaks for 2θ from 10° to 80°, by angle:
d/Å, two_theta, I/Imax
3.949, 22.51, 14
3.930, 22.62, 7
2.788, 32.10, 100
1.975, 45.96, 12
1.765, 51.79, 6
1.611, 57.18, 21
1.607, 57.35, 11
1.249, 76.26, 8

Structural model:
Cell: 14.191 14.191 3.949 Å, 90.00 90.00 112.36°
Fractional coordinates of all 24 atoms:
La 0.000 0.000 0.000
La 0.065 0.412 0.000
La 0.167 0.833 0.000
La 0.262 0.262 0.000
La 0.350 0.650 0.000
La 0.412 0.065 0.000
La 0.588 0.935 0.000
La 0.650 0.350 0.000
La 0.738 0.738 0.000
La 0.833 0.167 0.000
La 0.935 0.588 0.000
Mg 0.048 0.208 0.500
Mg 0.146 0.628 0.500
Mg 0.208 0.048 0.500
Mg 0.372 0.854 0.500
Mg 0.500 0.500 0.500
Mg 0.628 0.146 0.500
Mg 0.792 0.952 0.500
Mg 0.854 0.372 0.500
Mg 0.952 0.792 0.500
Cd 0.265 0.450 0.500
Cd 0.450 0.265 0.500
Cd 0.550 0.735 0.500
Cd 0.735 0.550 0.500

(10)
Calculated powder diffractogram
Compound: La14MgCd
Radiation: copper Kα
Structure: the GGA-PBE geometry in Alexandria
Peak positions follow from Bragg's law for the DFT cell and can differ from measured ones.

Top 8 peaks for 2θ from 10° to 80°, by angle:
d/Å, two_theta, I/Imax
2.992, 29.87, 100
2.613, 34.31, 17
2.580, 34.77, 33
1.836, 49.66, 24
1.824, 50.00, 12
1.572, 58.73, 14
1.558, 59.33, 28
1.496, 62.04, 12

Structural model:
Cell: 7.297 7.297 10.453 Å, 90.00 90.00 90.00°
Fractional coordinates of all 16 atoms:
La 0.000 0.000 0.000
La 0.000 0.500 0.000
La 0.000 0.500 0.500
La 0.249 0.249 0.254
La 0.249 0.249 0.746
La 0.249 0.751 0.254
La 0.249 0.751 0.746
La 0.500 0.000 0.000
La 0.500 0.000 0.500
La 0.500 0.500 0.000
La 0.751 0.249 0.254
La 0.751 0.249 0.746
La 0.751 0.751 0.254
La 0.751 0.751 0.746
Mg 0.500 0.500 0.500
Cd 0.000 0.000 0.500

(11)
Calculated powder diffractogram
Compound: La3Mg4Cd2
Radiation: copper Kα
Structure: the GGA-PBE geometry in Alexandria
Peak positions follow from Bragg's law for the DFT cell and can differ from measured ones.

Top 8 peaks for 2θ from 10° to 80°, by angle:
d/Å, two_theta, I/Imax
4.569, 19.43, 32
2.746, 32.61, 100
2.638, 33.99, 74
1.902, 47.82, 34
1.543, 59.96, 34
1.523, 60.83, 13
1.440, 64.76, 22
1.319, 71.54, 8

Structural model:
Cell: 6.293 6.293 9.769 Å, 119.15 119.15 49.54°
Fractional coordinates of all 9 atoms:
La 0.000 0.000 0.000
La 0.337 0.337 0.334
La 0.663 0.663 0.666
Mg 0.065 0.065 0.394
Mg 0.285 0.285 0.949
Mg 0.715 0.715 0.051
Mg 0.935 0.935 0.606
Cd 0.389 0.389 0.723
Cd 0.611 0.611 0.277

(12)
Calculated powder diffractogram
Compound: La2Mg3Cd9
Radiation: copper Kα
Structure: the GGA-PBE geometry in Alexandria
Peak positions follow from Bragg's law for the DFT cell and can differ from measured ones.

Top 8 peaks for 2θ from 10° to 80°, by angle:
d/Å, two_theta, I/Imax
2.677, 33.48, 39
2.666, 33.61, 100
2.548, 35.22, 54
2.522, 35.60, 36
2.512, 35.74, 26
2.192, 41.18, 22
1.491, 62.26, 20
1.483, 62.66, 19

Structural model:
Cell: 8.768 8.768 10.078 Å, 90.00 90.00 60.68°
Fractional coordinates of all 28 atoms:
La 0.003 0.679 0.750
La 0.321 0.997 0.750
La 0.679 0.003 0.250
La 0.997 0.321 0.250
Mg 0.000 0.000 0.000
Mg 0.000 0.000 0.500
Mg 0.316 0.316 0.000
Mg 0.316 0.316 0.500
Mg 0.684 0.684 0.000
Mg 0.684 0.684 0.500
Cd 0.014 0.657 0.090
Cd 0.014 0.657 0.410
Cd 0.143 0.857 0.250
Cd 0.332 0.668 0.546
Cd 0.332 0.668 0.954
Cd 0.343 0.986 0.090
Cd 0.343 0.986 0.410
Cd 0.359 0.446 0.250
Cd 0.446 0.359 0.750
Cd 0.554 0.641 0.250
Cd 0.641 0.554 0.750
Cd 0.657 0.014 0.590
Cd 0.657 0.014 0.910
Cd 0.668 0.332 0.046
Cd 0.668 0.332 0.454
Cd 0.857 0.143 0.750
Cd 0.986 0.343 0.590
Cd 0.986 0.343 0.910